(1)
Starting from DFT lattice parameters and positions (PBE), the XRD peak list of Pr2ZnNi16 was calculated for Cu Kα.
Kinematic intensities with the Lorentz-polarization factor, no thermal factor.

The 10 most intense peaks (2θ from 5° to 70°), by angle:
2θ (°)	Rel. int.
30.57	31
37.06	41
38.48	29
43.05	65
43.42	100
44.32	17
44.51	33
44.68	14
48.77	29
63.65	16

Crystal structure
Lattice parameters (Å, degrees): 6.334 6.334 6.334 83.12 83.12 83.12
Element x y z (fractional)
Pr: 0.000 0.000 0.000
Pr: 0.314 0.314 0.314
Zn: 0.749 0.749 0.749
Ni: 0.157 0.654 0.654
Ni: 0.313 0.313 0.808
Ni: 0.313 0.808 0.313
Ni: 0.363 0.655 0.947
Ni: 0.363 0.947 0.655
Ni: 0.503 0.998 0.998
Ni: 0.554 0.554 0.554
Ni: 0.654 0.157 0.654
Ni: 0.654 0.654 0.157
Ni: 0.655 0.363 0.947
Ni: 0.655 0.947 0.363
Ni: 0.808 0.313 0.313
Ni: 0.947 0.363 0.655
Ni: 0.947 0.655 0.363
Ni: 0.998 0.503 0.998
Ni: 0.998 0.998 0.503

(2)
Starting from DFT lattice parameters and positions (PBE), the XRD peak list of Pr3Zn4Ni2 was calculated for Cu Kα.
Kinematic intensities with the Lorentz-polarization factor, no thermal factor.

The 10 most intense peaks (2θ from 5° to 70°), by angle:
2θ (°)	Rel. int.
23.16	19
31.82	72
32.67	28
33.72	100
34.30	26
39.20	49
40.43	21
43.55	29
66.47	18
69.84	19

Crystal structure
Lattice parameters (Å, degrees): 5.490 5.490 8.379 100.02 100.02 49.50
Element x y z (fractional)
Pr: 0.000 0.000 0.000
Pr: 0.382 0.382 0.304
Pr: 0.618 0.618 0.696
Zn: 0.102 0.102 0.413
Zn: 0.288 0.288 0.917
Zn: 0.712 0.712 0.083
Zn: 0.898 0.898 0.587
Ni: 0.316 0.316 0.631
Ni: 0.684 0.684 0.369

(3)
Starting from DFT lattice parameters and positions (PBE), the XRD peak list of Pr3Zn2Ni6 was calculated for Cu Kα.
Kinematic intensities with the Lorentz-polarization factor, no thermal factor.

The 10 most intense peaks (2θ from 5° to 70°), by angle:
2θ (°)	Rel. int.
23.93	16
31.04	33
34.09	38
36.92	23
39.57	23
42.08	100
55.23	16
59.14	11
62.89	15
68.30	17

Crystal structure
Lattice parameters (Å, degrees): 7.889 7.889 7.889 109.47 109.47 109.47
Element x y z (fractional)
Pr: 0.000 0.294 0.294
Pr: 0.000 0.706 0.706
Pr: 0.294 0.000 0.294
Pr: 0.294 0.294 0.000
Pr: 0.706 0.000 0.706
Pr: 0.706 0.706 0.000
Zn: 0.000 0.000 0.500
Zn: 0.000 0.500 0.000
Zn: 0.500 0.000 0.000
Zn: 0.500 0.500 0.500
Ni: 0.000 0.337 0.663
Ni: 0.000 0.663 0.337
Ni: 0.325 0.663 0.663
Ni: 0.337 0.000 0.663
Ni: 0.337 0.337 0.675
Ni: 0.337 0.663 0.000
Ni: 0.337 0.675 0.337
Ni: 0.663 0.000 0.337
Ni: 0.663 0.325 0.663
Ni: 0.663 0.337 0.000
Ni: 0.663 0.663 0.325
Ni: 0.675 0.337 0.337